(1)
TaFeNi: calculated X-ray diffraction stick pattern (a wavelength of 1.5418 Å), based on a cell relaxed with GGA-PBE.
Lines closer than 0.1° are merged.

Principal peaks in the range 2θ from 10° to 90°, low angle first:
Position (°2θ)	I_rel
27.67	34
38.13	98
38.92	35
39.84	56
40.90	100
50.85	34
51.75	22
66.47	25

Crystal structure
Cell lengths 6.0511, 3.5914, 7.3185 Å; angles 90.00, 90.00, 90.00 degrees
Fractional coordinates of all 12 atoms:
Ta  0.0374  0.2500  0.1758
Ta  0.4626  0.7500  0.6758
Ta  0.5374  0.2500  0.3242
Ta  0.9626  0.7500  0.8242
Fe  0.2494  0.2500  0.8716
Fe  0.2506  0.7500  0.3716
Fe  0.7494  0.2500  0.6284
Fe  0.7506  0.7500  0.1284
Ni  0.1347  0.2500  0.5589
Ni  0.3653  0.7500  0.0589
Ni  0.6347  0.2500  0.9411
Ni  0.8653  0.7500  0.4411

(2)
FeTcNi2: calculated X-ray diffraction stick pattern (a wavelength of 1.5418 Å), based on a cell relaxed with GGA-PBE.
Lines closer than 0.1° are merged.

Principal peaks in the range 2θ from 10° to 90°, low angle first:
Position (°2θ)	I_rel
27.04	4
31.32	3
44.88	100
53.18	2
65.35	15
72.07	1
74.25	1
82.78	30

Crystal structure
Cell lengths 4.0390, 4.0390, 4.0390 Å; angles 60.00, 60.00, 60.00 degrees
Fractional coordinates of all 4 atoms:
Fe  0.0000  0.0000  0.0000
Tc  0.7500  0.7500  0.7500
Ni  0.2500  0.2500  0.2500
Ni  0.5000  0.5000  0.5000

(3)
Tm3FeNi: calculated X-ray diffraction stick pattern (a wavelength of 1.5418 Å), based on a cell relaxed with GGA-PBE.
Lines closer than 0.1° are merged.

Principal peaks in the range 2θ from 10° to 90°, low angle first:
Position (°2θ)	I_rel
30.90	100
37.89	12
42.93	41
45.58	12
53.83	21
58.58	21
64.13	13
71.19	18

Crystal structure
Cell lengths 7.2980, 7.2980, 4.7488 Å; angles 90.00, 90.00, 120.00 degrees
Fractional coordinates of all 10 atoms:
Tm  0.0000  0.3393  0.2495
Tm  0.0000  0.6607  0.7505
Tm  0.3393  0.0000  0.2495
Tm  0.3393  0.3393  0.7505
Tm  0.6607  0.0000  0.7505
Tm  0.6607  0.6607  0.2495
Fe  0.0000  0.0000  0.2487
Fe  0.0000  0.0000  0.7513
Ni  0.3333  0.6667  0.0000
Ni  0.6667  0.3333  0.0000

(4)
Y3Fe7Ni2: calculated X-ray diffraction stick pattern (a wavelength of 1.5418 Å), based on a cell relaxed with GGA-PBE.
Lines closer than 0.1° are merged.

Principal peaks in the range 2θ from 10° to 90°, low angle first:
Position (°2θ)	I_rel
32.65	25
35.68	53
41.63	27
42.10	100
43.98	17
45.48	33
68.52	20
75.62	18

Crystal structure
Cell lengths 8.7322, 8.7322, 8.7322 Å; angles 33.48, 33.48, 33.48 degrees
Fractional coordinates of all 12 atoms:
Y  0.0000  0.0000  0.0000
Y  0.1418  0.1418  0.1418
Y  0.8582  0.8582  0.8582
Fe  0.0832  0.5812  0.5812
Fe  0.4188  0.4188  0.9168
Fe  0.4188  0.9168  0.4188
Fe  0.5000  0.5000  0.5000
Fe  0.5812  0.0832  0.5812
Fe  0.5812  0.5812  0.0832
Fe  0.9168  0.4188  0.4188
Ni  0.3325  0.3325  0.3325
Ni  0.6675  0.6675  0.6675

(5)
ZnFeNi2: calculated X-ray diffraction stick pattern (a wavelength of 1.5418 Å), based on a cell relaxed with GGA-PBE.
Lines closer than 0.1° are merged.

Principal peaks in the range 2θ from 10° to 90°, low angle first:
Position (°2θ)	I_rel
44.99	100
65.51	15
83.00	29

Crystal structure
Cell lengths 4.0303, 4.0303, 4.0303 Å; angles 60.00, 60.00, 60.00 degrees
Fractional coordinates of all 4 atoms:
Zn  0.0000  0.0000  0.0000
Fe  0.2500  0.2500  0.2500
Ni  0.5000  0.5000  0.5000
Ni  0.7500  0.7500  0.7500

(6)
NpTlFe: calculated X-ray diffraction stick pattern (a wavelength of 1.5418 Å), based on a cell relaxed with GGA-PBE.
Lines closer than 0.1° are merged.

Principal peaks in the range 2θ from 10° to 90°, low angle first:
Position (°2θ)	I_rel
24.45	5
28.31	73
40.46	100
50.11	21
58.56	17
66.29	29
73.59	35
87.52	12

Crystal structure
Cell lengths 4.4587, 4.4587, 4.4587 Å; angles 60.00, 60.00, 60.00 degrees
Fractional coordinates of all 3 atoms:
Np  0.0000  0.0000  0.0000
Tl  0.5000  0.5000  0.5000
Fe  0.2500  0.2500  0.2500

(7)
Fe2Os3: calculated X-ray diffraction stick pattern (a wavelength of 1.5418 Å), based on a cell relaxed with GGA-PBE.
Lines closer than 0.1° are merged.

Principal peaks in the range 2θ from 10° to 90°, low angle first:
Position (°2θ)	I_rel
22.13	14
36.55	100
44.99	23
45.26	38
47.19	12
50.97	14
59.42	17
77.82	17

Crystal structure
Cell lengths 5.3930, 5.3930, 5.3930 Å; angles 70.27, 70.27, 70.27 degrees
Fractional coordinates of all 10 atoms:
Fe  0.0922  0.0922  0.0922
Fe  0.4078  0.4078  0.4078
Fe  0.5922  0.5922  0.5922
Fe  0.9078  0.9078  0.9078
Os  0.0082  0.7500  0.4918
Os  0.2500  0.5082  0.9918
Os  0.4918  0.0082  0.7500
Os  0.5082  0.9918  0.2500
Os  0.7500  0.4918  0.0082
Os  0.9918  0.2500  0.5082

(8)
RbFeP2Os: calculated X-ray diffraction stick pattern (a wavelength of 1.5418 Å), based on a cell relaxed with GGA-PBE.
Lines closer than 0.1° are merged.

Principal peaks in the range 2θ from 10° to 90°, low angle first:
Position (°2θ)	I_rel
12.77	100
24.08	49
25.70	48
30.29	57
35.55	93
47.42	33
52.00	56
54.71	24

Crystal structure
Cell lengths 7.4430, 7.4430, 7.4430 Å; angles 150.14, 150.14, 42.73 degrees
Fractional coordinates of all 5 atoms:
Rb  0.0000  0.0000  0.0000
Fe  0.2500  0.7500  0.5000
P  0.3416  0.3416  0.0000
P  0.6584  0.6584  0.0000
Os  0.7500  0.2500  0.5000